Starting from a crystal structure in Alexandria, relaxed with GGA-PBE, the X-ray powder pattern of LiCu was simulated for a wavelength of 1.5418 Å.
Neutral-atom scattering factors, no anomalous dispersion.

Atomic structure:
a = 2.558 Å, b = 4.552 Å, c = 4.709 Å
α = 97.12°, β = 90.38°, γ = 106.07°
Atoms (fractional coordinates):
Li: 0.118 0.236 0.364
Li: 0.882 0.764 0.636
Cu: 0.371 0.738 0.113
Cu: 0.629 0.262 0.887

Main lines, in order of falling intensity (5 to 70 degrees two-theta):
hkl, two_theta, I/Imax
0 0 1, 19.01, 100.0
0 1 -1, 26.15, 39.8
0 1 -2, 41.46, 30.4
1 0 0, 36.63, 29.8
0 2 0, 41.66, 29.5
-1 1 1, 42.17, 28.6
1 0 1, 42.31, 28.5
0 1 2, 46.53, 20.5